1.
Theoretical powder X-ray diffraction pattern of Br2Cl3F for a wavelength of 1.5418 Å, from a structure optimized by DFT (PBE).

Cell and atoms:
```
data_Br2Cl3F
_cell_length_a 4.6955
_cell_length_b 7.1629
_cell_length_c 12.3966
_cell_angle_alpha 100.80
_cell_angle_beta 92.24
_cell_angle_gamma 94.96
_space_group_name_H-M_alt 'P -1'
_space_group_IT_number 2
_space_group_name_Hall '-P 1'
loop_
_atom_site_label
_atom_site_type_symbol
_atom_site_fract_x
_atom_site_fract_y
_atom_site_fract_z
Br1 Br 0.0582 0.3909 0.1270
Br2 Br 0.0667 0.1382 0.3799
Cl1 Cl 0.2056 0.1455 0.6114
Cl2 Cl 0.2302 0.6761 0.0853
Cl3 Cl 0.3277 0.4183 0.3589
F1 F 0.0945 0.8505 0.8409
```

Top 6 peaks for 2θ = 10–80°, most intense first:
2theta  intensity  h k l
23.48  100  -1 1 1
15.77  82  0 1 1
19.00  58  1 0 0
29.39  49  0 0 4
30.14  38  1 -1 3
37.82  19  0 3 -1

---

2.
Theoretical powder X-ray diffraction pattern of SmH8Ir2 for a wavelength of 1.5418 Å, from a structure optimized by DFT (PBE).

Cell and atoms:
```
data_SmH8Ir2
_cell_length_a 4.4456
_cell_length_b 4.4456
_cell_length_c 4.8670
_cell_angle_alpha 90.00
_cell_angle_beta 90.00
_cell_angle_gamma 90.00
_space_group_name_H-M_alt 'P 4/m m m'
_space_group_IT_number 123
_space_group_name_Hall '-P 4 2'
loop_
_atom_site_label
_atom_site_type_symbol
_atom_site_fract_x
_atom_site_fract_y
_atom_site_fract_z
Sm1 Sm 0.0000 0.0000 0.0000
H1 H 0.2805 0.2805 0.3107
Ir1 Ir 0.0000 0.5000 0.5000
```

Top 6 peaks for 2θ = 10–80°, most intense first:
2theta  intensity  h k l
33.95  100  1 1 1
40.59  30  2 0 0
69.61  25  3 1 1
56.03  25  2 0 2
18.23  22  0 0 1
36.94  19  0 0 2